Structure and calculated powder XRD pattern of YBiO3 (a DFT-relaxed cell (GGA-PBE, the Materials Project); copper Kα).

Largest 10 diffraction maxima, low angle first, 10 to 80 degrees two-theta:
index  2θ/deg  I/Imax
0 0 3  17.49  167
1 0 1  17.95  174
0 1 2  20.62  194
1 0 4  29.04  913
1 1 0  29.61  1000
2 -1 3  34.60  227
0 2 4  41.96  414
2 -1 6  46.81  315
2 1 4  52.19  418
3 0 0  52.55  281

Structural model:
Lattice parameters (Å, degrees): 6.0330 6.0330 15.2104 90.00 90.00 120.00
Space group R-3 (No. 148, hexagonal axes)
Unique sites:
Y 0.0000 0.0000 0.1408
Bi 0.0000 0.0000 0.3563
O 0.0307 0.2925 0.7490


Structure and calculated powder XRD pattern of Y2Bi2O7 (a DFT-relaxed cell (GGA-PBE, the Materials Project); copper Kα).

Largest 10 diffraction maxima, low angle first, 10 to 80 degrees two-theta:
index  2θ/deg  I/Imax
0 1 2  20.06  400
2 0 0  21.83  268
0 0 4  25.76  308
2 1 0  26.81  224
2 1 -2  28.23  283
2 1 1  28.46  338
0 1 4  30.13  255
0 2 0  31.04  1000
2 1 2  31.38  437
4 0 -1  43.99  220

Structural model:
Lattice parameters (Å, degrees): 8.2347 5.7618 14.0207 90.00 99.30 90.00
Space group P2_1 (No. 4)
Unique sites:
Y 0.1336 0.0000 0.0574
Y 0.2478 0.4667 0.4321
Y 0.2939 0.9297 0.6316
Y 0.3638 0.4759 0.8882
Bi 0.0234 0.4509 0.6176
Bi 0.0784 0.9517 0.8177
Bi 0.4071 0.4693 0.1692
Bi 0.4588 0.9529 0.3688
O 0.0109 0.5753 0.3243
O 0.0675 0.2381 0.9170
O 0.0980 0.7395 0.5221
O 0.1604 0.3257 0.1529
O 0.1611 0.6575 0.7450
O 0.1676 0.7375 0.9400
O 0.2166 0.1138 0.3708
O 0.2703 0.2903 0.5779
O 0.3239 0.1197 0.8017
O 0.3637 0.8173 0.1274
O 0.4141 0.5600 0.3220
O 0.4211 0.2762 0.0390
O 0.4334 0.7477 0.5223
O 0.4673 0.6797 0.7588


Structure and calculated powder XRD pattern of YBiO3 (a DFT-relaxed cell (GGA-PBE, the Materials Project); copper Kα).

Largest 10 diffraction maxima, low angle first, 10 to 80 degrees two-theta:
index  2θ/deg  I/Imax
0 0 2  13.46  262
0 0 4  27.12  452
1 0 1  27.63  1000
1 0 2  30.08  607
1 0 3  33.80  368
1 0 5  43.86  321
1 1 0  47.28  374
1 0 6  49.80  202
1 1 4  55.35  375
2 0 1  55.64  145

Structural model:
Lattice parameters (Å, degrees): 3.8454 3.8454 13.1524 90.00 90.00 120.00
Space group P6_3/mmc (No. 194)
Unique sites:
Y 0.0000 0.0000 0.0000
Bi 0.3333 0.6667 0.2500
O 0.0000 0.0000 0.2500
O 0.3333 0.6667 0.0709


Structure and calculated powder XRD pattern of YBiO12 (a DFT-relaxed cell (GGA-PBE, the Materials Project); copper Kα).

Largest 10 diffraction maxima, low angle first, 10 to 80 degrees two-theta:
index  2θ/deg  I/Imax
2 2 0  22.93  1000
3 1 1  26.96  286
4 0 0  32.65  285
4 2 2  40.28  923
4 4 0  46.85  160
5 3 1  49.13  124
6 2 0  52.78  325
4 4 4  58.27  106
6 4 2  63.46  276
6 6 0  73.21  271

Structural model:
Lattice parameters (Å, degrees): 10.9701 10.9701 10.9701 90.00 90.00 90.00
Space group Fd-3m (No. 227, origin choice 2)
Unique sites:
Y 0.1250 0.1250 0.1250
Bi 0.1250 0.1250 0.6250
O 0.0391 0.0391 0.8668